# 1
Calculated powder diffractogram of CrReIr for λ = 1.5418 Å (Cu Kα), from a structure optimized by DFT (GGA-PBE).

Atomic structure:
```
data_CrReIr
_space_group_name_H-M_alt 'P 1'
_space_group_IT_number 1
_space_group_name_Hall 'P 1'
_cell_length_a 6.0033
_cell_length_b 6.0033
_cell_length_c 6.0033
_cell_angle_alpha 154.00
_cell_angle_beta 154.00
_cell_angle_gamma 37.10
loop_
_atom_site_label
_atom_site_type_symbol
_atom_site_fract_x
_atom_site_fract_y
_atom_site_fract_z
Cr1 Cr 0.0000 0.0000 0.0000
Re1 Re 0.3361 0.3361 0.0000
Ir1 Ir 0.6613 0.6613 0.0000
```

Peak list (10 most intense, 2θ from 5° to 70°, low angle first)
- 2θ 15.57, intensity 19
- 2θ 31.44, intensity 8
- 2θ 34.11, intensity 18
- 2θ 41.01, intensity 100
- 2θ 47.61, intensity 33
- 2θ 47.95, intensity 16
- 2θ 58.17, intensity 6
- 2θ 67.20, intensity 5
- 2θ 69.61, intensity 10
- 2θ 69.88, intensity 20


# 2
Calculated powder diffractogram of NdTmGa4 for λ = 1.5418 Å (Cu Kα), from a structure optimized by DFT (GGA-PBE).

Atomic structure:
```
data_NdTmGa4
_space_group_name_H-M_alt 'P 1'
_space_group_IT_number 1
_space_group_name_Hall 'P 1'
_cell_length_a 5.9408
_cell_length_b 5.9408
_cell_length_c 5.9408
_cell_angle_alpha 138.17
_cell_angle_beta 103.74
_cell_angle_gamma 91.00
loop_
_atom_site_label
_atom_site_type_symbol
_atom_site_fract_x
_atom_site_fract_y
_atom_site_fract_z
Nd1 Nd 0.0000 0.0000 0.0000
Tm1 Tm 0.5000 0.5000 0.0000
Ga1 Ga 0.0858 0.7524 0.3334
Ga2 Ga 0.4191 0.7524 0.6666
Ga3 Ga 0.5809 0.2476 0.3334
Ga4 Ga 0.9142 0.2476 0.6666
```

Peak list (10 most intense, 2θ from 5° to 70°, low angle first)
- 2θ 24.25, intensity 14
- 2θ 32.52, intensity 100
- 2θ 42.66, intensity 41
- 2θ 43.46, intensity 13
- 2θ 49.67, intensity 2
- 2θ 50.39, intensity 4
- 2θ 54.65, intensity 23
- 2θ 62.54, intensity 26
- 2θ 67.51, intensity 2
- 2θ 68.10, intensity 2